Entry 1:
TcMoIr: calculated X-ray powder pattern (copper Kα), based on a PBE-relaxed structure.
Peak positions follow from Bragg's law for the DFT cell and can differ from measured ones.

Structure:
Cell: 8.384 4.804 5.238 Å, 90.00 122.10 90.00°
Space group C2 (No. 5)
Asymmetric unit:
Tc: 0.167 0.000 0.004 [4 per cell]
Mo: 0.000 0.337 0.500 [2 per cell]
Mo: 0.000 0.501 0.000 [2 per cell]
Ir: 0.170 0.838 0.512 [4 per cell]

The 6 most intense peaks (2θ from 10° to 90°), by angle:
2θ = 37.22°, rel. 264; 2θ = 40.67°, rel. 366; 2θ = 42.61°, rel. 1000; 2θ = 42.81°, rel. 472; 2θ = 56.42°, rel. 165; 2θ = 75.46°, rel. 176

Entry 2:
KMg2Ga10: calculated X-ray powder pattern (copper Kα), based on a PBE-relaxed structure.
Peak positions follow from Bragg's law for the DFT cell and can differ from measured ones.

Structure:
Cell: 5.914 13.461 13.590 Å, 90.00 90.00 90.00°
Space group Fmmm (No. 69)
Asymmetric unit:
K: 0.000 0.000 0.000 [4 per cell]
Mg: 0.250 0.250 0.000 [8 per cell]
Ga: 0.000 0.110 0.383 [16 per cell]
Ga: 0.000 0.178 0.179 [16 per cell]
Ga: 0.250 0.000 0.250 [8 per cell]

The 6 most intense peaks (2θ from 10° to 90°), by angle:
2θ = 13.03°, rel. 924; 2θ = 35.70°, rel. 1000; 2θ = 37.01°, rel. 793; 2θ = 37.29°, rel. 820; 2θ = 37.62°, rel. 908; 2θ = 40.44°, rel. 704

Entry 3:
PrDy2Er9: calculated X-ray powder pattern (copper Kα), based on a PBE-relaxed structure.
Peak positions follow from Bragg's law for the DFT cell and can differ from measured ones.

Structure:
Cell: 11.1499 11.1499 3.4995 Å, 90.00 90.00 120.00°
Space group P6/mmm (No. 191)
Asymmetric unit:
Pr: 0.0000 0.0000 0.0000 [1 per cell]
Dy: 0.3333 0.6667 0.0000 [2 per cell]
Er: 0.0000 0.5000 0.0000 [3 per cell]
Er: 0.1785 0.3569 0.5000 [6 per cell]

The 6 most intense peaks (2θ from 10° to 90°), by angle:
2θ = 30.15°, rel. 248; 2θ = 31.58°, rel. 546; 2θ = 32.11°, rel. 1000; 2θ = 35.54°, rel. 224; 2θ = 56.91°, rel. 184; 2θ = 62.69°, rel. 296

Entry 4:
Zr4CoNi: calculated X-ray powder pattern (copper Kα), based on a PBE-relaxed structure.
Peak positions follow from Bragg's law for the DFT cell and can differ from measured ones.

Structure:
Cell: 6.436 6.436 5.355 Å, 90.00 90.00 90.00°
Space group I422 (No. 97)
Asymmetric unit:
Zr: 0.166 0.334 0.250 [8 per cell]
Co: 0.000 0.000 0.500 [2 per cell]
Ni: 0.000 0.000 0.000 [2 per cell]

The 6 most intense peaks (2θ from 10° to 90°), by angle:
2θ = 35.40°, rel. 1000; 2θ = 39.03°, rel. 238; 2θ = 43.99°, rel. 331; 2θ = 44.51°, rel. 326; 2θ = 61.08°, rel. 235; 2θ = 71.47°, rel. 188

Entry 5:
ErMg2InGa: calculated X-ray powder pattern (copper Kα), based on a PBE-relaxed structure.
Peak positions follow from Bragg's law for the DFT cell and can differ from measured ones.

Structure:
Cell: 3.453 17.343 8.368 Å, 90.00 90.00 90.00°
Space group Cmcm (No. 63)
Asymmetric unit:
Er: 0.000 0.097 0.250 [4 per cell]
Mg: 0.000 0.327 0.059 [8 per cell]
In: 0.000 0.500 0.000 [4 per cell]
Ga: 0.000 0.261 0.750 [4 per cell]

The 6 most intense peaks (2θ from 10° to 90°), by angle:
2θ = 14.71°, rel. 1000; 2θ = 32.03°, rel. 736; 2θ = 34.06°, rel. 836; 2θ = 36.73°, rel. 562; 2θ = 37.83°, rel. 592; 2θ = 44.60°, rel. 343

Entry 6:
Ni2Hg: calculated X-ray powder pattern (copper Kα), based on a PBE-relaxed structure.
Peak positions follow from Bragg's law for the DFT cell and can differ from measured ones.

Structure:
Cell: 7.945 4.730 5.445 Å, 90.00 123.85 90.00°
Space group C2/c (No. 15)
Asymmetric unit:
Ni: 0.162 0.098 0.254 [8 per cell]
Hg: 0.000 0.392 0.750 [4 per cell]

The 6 most intense peaks (2θ from 10° to 90°), by angle:
2θ = 23.14°, rel. 478; 2θ = 39.10°, rel. 645; 2θ = 39.86°, rel. 675; 2θ = 42.70°, rel. 694; 2θ = 43.17°, rel. 1000; 2θ = 45.48°, rel. 580

Entry 7:
ErNpAl6: calculated X-ray powder pattern (copper Kα), based on a PBE-relaxed structure.
Peak positions follow from Bragg's law for the DFT cell and can differ from measured ones.

Structure:
Cell: 6.1425 6.1425 4.6826 Å, 90.00 90.00 120.00°
Space group P-6m2 (No. 187)
Asymmetric unit:
Er: 0.0000 0.0000 0.0000 [1 per cell]
Np: 0.3333 0.6667 0.5000 [1 per cell]
Al: 0.3614 0.1807 0.5000 [3 per cell]
Al: 0.5127 0.0253 0.0000 [3 per cell]

The 6 most intense peaks (2θ from 10° to 90°), by angle:
2θ = 16.67°, rel. 370; 2θ = 25.34°, rel. 1000; 2θ = 29.07°, rel. 452; 2θ = 38.94°, rel. 814; 2θ = 48.92°, rel. 224; 2θ = 49.33°, rel. 294

Entry 8:
Dy5Er: calculated X-ray powder pattern (copper Kα), based on a PBE-relaxed structure.
Peak positions follow from Bragg's law for the DFT cell and can differ from measured ones.

Structure:
Cell: 4.989 14.979 4.986 Å, 90.00 90.00 90.00°
Space group Cmmm (No. 65)
Asymmetric unit:
Dy: 0.000 0.000 0.000 [2 per cell]
Dy: 0.000 0.166 0.500 [4 per cell]
Dy: 0.000 0.333 0.000 [4 per cell]
Er: 0.000 0.500 0.500 [2 per cell]

The 6 most intense peaks (2θ from 10° to 90°), by angle:
2θ = 31.05°, rel. 1000; 2θ = 36.00°, rel. 506; 2θ = 51.83°, rel. 360; 2θ = 61.66°, rel. 427; 2θ = 84.68°, rel. 179; 2θ = 87.41°, rel. 140

Entry 9:
H6PbCI3N3: calculated X-ray powder pattern (copper Kα), based on a PBE-relaxed structure.
Peak positions follow from Bragg's law for the DFT cell and can differ from measured ones.

Structure:
Cell: 9.545 8.172 19.055 Å, 90.00 120.02 90.00°
Space group P2_1/c (No. 14)
Asymmetric unit:
H: 0.039 0.215 0.293 [4 per cell]
H: 0.046 0.250 0.480 [4 per cell]
H: 0.078 0.730 0.125 [4 per cell]
H: 0.250 0.223 0.336 [4 per cell]
H: 0.327 0.239 0.038 [4 per cell]
H: 0.414 0.249 0.476 [4 per cell]
Pb: 0.500 0.026 0.750 [4 per cell]
C: 0.166 0.237 0.416 [4 per cell]
I: 0.196 0.225 0.150 [4 per cell]
I: 0.300 0.722 0.302 [4 per cell]
I: 0.396 0.725 0.098 [4 per cell]
N: 0.035 0.238 0.425 [4 per cell]
N: 0.151 0.222 0.343 [4 per cell]
N: 0.314 0.248 0.982 [4 per cell]

The 6 most intense peaks (2θ from 10° to 90°), by angle:
2θ = 10.71°, rel. 1000; 2θ = 24.15°, rel. 374; 2θ = 28.78°, rel. 239; 2θ = 30.79°, rel. 307; 2θ = 36.22°, rel. 188; 2θ = 39.34°, rel. 177

Entry 10:
LiAg2Sn8: calculated X-ray powder pattern (copper Kα), based on a PBE-relaxed structure.
Peak positions follow from Bragg's law for the DFT cell and can differ from measured ones.

Structure:
Cell: 8.755 13.110 5.075 Å, 90.00 103.37 90.00°
Space group C2/m (No. 12)
Asymmetric unit:
Li: 0.000 0.000 0.000 [2 per cell]
Ag: 0.000 0.336 0.500 [4 per cell]
Sn: 0.000 0.237 0.000 [4 per cell]
Sn: 0.142 0.500 0.859 [4 per cell]
Sn: 0.191 0.126 0.604 [8 per cell]

The 6 most intense peaks (2θ from 10° to 90°), by angle:
2θ = 24.93°, rel. 365; 2θ = 30.73°, rel. 869; 2θ = 32.80°, rel. 1000; 2θ = 33.27°, rel. 573; 2θ = 37.79°, rel. 421; 2θ = 40.18°, rel. 228

Entry 11:
AuS2Br3: calculated X-ray powder pattern (copper Kα), based on a PBE-relaxed structure.
Peak positions follow from Bragg's law for the DFT cell and can differ from measured ones.

Structure:
Cell: 3.971 11.896 15.607 Å, 90.00 91.53 90.00°
Space group C2/c (No. 15)
Asymmetric unit:
Au: 0.000 0.142 0.250 [4 per cell]
S: 0.016 0.009 0.136 [8 per cell]
Br: 0.000 0.198 0.750 [4 per cell]
Br: 0.011 0.143 0.038 [8 per cell]

The 6 most intense peaks (2θ from 10° to 90°), by angle:
2θ = 11.34°, rel. 482; 2θ = 15.95°, rel. 810; 2θ = 22.80°, rel. 496; 2θ = 23.63°, rel. 1000; 2θ = 31.90°, rel. 479; 2θ = 32.38°, rel. 458

Entry 12:
Pm3SmHo8: calculated X-ray powder pattern (copper Kα), based on a PBE-relaxed structure.
Peak positions follow from Bragg's law for the DFT cell and can differ from measured ones.

Structure:
Cell: 10.883 11.369 6.294 Å, 90.00 90.00 90.00°
Space group Imm2 (No. 44)
Asymmetric unit:
Pm: 0.000 0.000 0.000 [2 per cell]
Pm: 0.000 0.250 0.664 [4 per cell]
Sm: 0.000 0.500 0.000 [2 per cell]
Ho: 0.167 0.500 0.497 [4 per cell]
Ho: 0.168 0.000 0.497 [4 per cell]
Ho: 0.168 0.250 0.167 [8 per cell]

The 6 most intense peaks (2θ from 10° to 90°), by angle:
2θ = 28.39°, rel. 238; 2θ = 31.47°, rel. 243; 2θ = 32.54°, rel. 1000; 2θ = 50.26°, rel. 198; 2θ = 56.72°, rel. 207; 2θ = 60.52°, rel. 227

Entry 13:
Ac2Ga2BOs2: calculated X-ray powder pattern (copper Kα), based on a PBE-relaxed structure.
Peak positions follow from Bragg's law for the DFT cell and can differ from measured ones.

Structure:
Cell: 11.422 4.508 7.767 Å, 90.00 130.71 90.00°
Space group C2/m (No. 12)
Asymmetric unit:
Ac: 0.061 0.000 0.321 [4 per cell]
Ga: 0.171 0.500 0.111 [4 per cell]
B: 0.000 0.500 0.500 [2 per cell]
Os: 0.202 0.500 0.813 [4 per cell]

The 6 most intense peaks (2θ from 10° to 90°), by angle:
2θ = 30.58°, rel. 852; 2θ = 32.42°, rel. 1000; 2θ = 33.52°, rel. 299; 2θ = 35.86°, rel. 356; 2θ = 36.99°, rel. 446; 2θ = 40.00°, rel. 452